Structure and computed X-ray powder pattern of Nb5N6 (a cell relaxed with GGA-PBE; a wavelength of 1.5418 Å).
Neutral-atom scattering factors, no anomalous dispersion.

Structural model:
```
data_Nb5N6
_symmetry_space_group_name_H-M 'P 1'
_symmetry_Int_Tables_number 1
_symmetry_space_group_name_Hall 'P 1'
_cell_length_a 5.2606
_cell_length_b 5.2606
_cell_length_c 10.4746
_cell_angle_alpha 90.00
_cell_angle_beta 90.00
_cell_angle_gamma 120.00
loop_
_atom_site_label
_atom_site_fract_x
_atom_site_fract_y
_atom_site_fract_z
Nb1 0.0000 0.3250 0.2500
Nb2 0.0000 0.6750 0.7500
Nb3 0.3250 0.0000 0.2500
Nb4 0.3250 0.3250 0.7500
Nb5 0.3333 0.6667 0.0000
Nb6 0.3333 0.6667 0.5000
Nb7 0.6667 0.3333 0.0000
Nb8 0.6667 0.3333 0.5000
Nb9 0.6750 0.0000 0.7500
Nb10 0.6750 0.6750 0.2500
N1 0.0000 0.3393 0.6225
N2 0.0000 0.3393 0.8775
N3 0.0000 0.6607 0.1225
N4 0.0000 0.6607 0.3775
N5 0.3393 0.0000 0.6225
N6 0.3393 0.0000 0.8775
N7 0.3393 0.3393 0.1225
N8 0.3393 0.3393 0.3775
N9 0.6607 0.0000 0.1225
N10 0.6607 0.0000 0.3775
N11 0.6607 0.6607 0.6225
N12 0.6607 0.6607 0.8775
```

Main lines, in order of falling intensity (10 to 90 degrees two-theta):
two_theta  d [Å]  intensity  (hkl)
38.3  2.351  100  1 1 2
43.1  2.101  56  1 1 3
35.2  2.551  45  1 1 1
34.2  2.619  32  0 0 4
61.0  1.519  32  3 0 0
25.9  3.437  28  1 0 2
71.9  1.314  23  3 0 4
56.1  1.639  23  1 1 5